This entry pairs a crystal structure of YPa2BeO8 with its theoretical powder diffraction line list. Radiation: Cu Kα. Structure: a DFT-relaxed cell (GGA-PBE, Alexandria).

Structure:
a = 4.946 Å, b = 4.946 Å, c = 6.428 Å
α = 90.00°, β = 90.00°, γ = 120.00°
Atoms (fractional coordinates):
Y (0.000, 0.000, 0.000)
Pa (0.333, 0.667, 0.356)
Pa (0.667, 0.333, 0.644)
Be (0.000, 0.000, 0.500)
O (0.164, 0.327, 0.669)
O (0.164, 0.836, 0.669)
O (0.327, 0.164, 0.331)
O (0.333, 0.667, 0.055)
O (0.667, 0.333, 0.945)
O (0.673, 0.836, 0.669)
O (0.836, 0.164, 0.331)
O (0.836, 0.673, 0.331)

Largest 10 diffraction maxima, in order of rising 2θ, 5° ≤ 2θ ≤ 70°:
| Position (°2θ) | I/Imax |
| --- | --- |
| 13.78 | 23 |
| 24.98 | 100 |
| 34.90 | 45 |
| 36.33 | 47 |
| 42.18 | 16 |
| 44.60 | 36 |
| 51.26 | 25 |
| 56.86 | 22 |
| 58.82 | 20 |
| 64.45 | 17 |



This entry pairs a crystal structure of Be2SbPb2O6 with its theoretical powder diffraction line list. Radiation: Cu Kα. Structure: a DFT-relaxed cell (GGA-PBE, Alexandria).

Structure:
a = 5.158 Å, b = 5.158 Å, c = 7.452 Å
α = 90.00°, β = 90.00°, γ = 120.00°
Atoms (fractional coordinates):
Be (0.333, 0.667, 0.342)
Be (0.667, 0.333, 0.658)
Sb (0.000, 0.000, 0.500)
Pb (0.333, 0.667, 0.836)
Pb (0.667, 0.333, 0.164)
O (0.046, 0.694, 0.331)
O (0.306, 0.352, 0.331)
O (0.352, 0.046, 0.669)
O (0.648, 0.954, 0.331)
O (0.694, 0.648, 0.669)
O (0.954, 0.306, 0.669)

Largest 10 diffraction maxima, in order of rising 2θ, 5° ≤ 2θ ≤ 70°:
| Position (°2θ) | I/Imax |
| --- | --- |
| 23.21 | 100 |
| 31.26 | 60 |
| 34.78 | 35 |
| 42.24 | 25 |
| 47.46 | 17 |
| 51.05 | 30 |
| 53.28 | 13 |
| 55.83 | 21 |
| 60.17 | 18 |
| 62.36 | 10 |



This entry pairs a crystal structure of BePbSe2O8 with its theoretical powder diffraction line list. Radiation: Cu Kα. Structure: a DFT-relaxed cell (GGA-PBE, Alexandria).

Structure:
a = 4.851 Å, b = 4.851 Å, c = 7.513 Å
α = 94.42°, β = 94.42°, γ = 67.34°
Atoms (fractional coordinates):
Be (0.000, 0.000, 0.000)
Pb (0.000, 0.000, 0.500)
Se (0.365, 0.365, 0.203)
Se (0.635, 0.635, 0.797)
O (0.215, 0.215, 0.037)
O (0.232, 0.740, 0.190)
O (0.260, 0.768, 0.810)
O (0.306, 0.306, 0.411)
O (0.694, 0.694, 0.589)
O (0.740, 0.232, 0.190)
O (0.768, 0.260, 0.810)
O (0.785, 0.785, 0.963)

Largest 10 diffraction maxima, in order of rising 2θ, 5° ≤ 2θ ≤ 70°:
| Position (°2θ) | I/Imax |
| --- | --- |
| 11.83 | 24 |
| 22.11 | 19 |
| 23.71 | 100 |
| 24.15 | 49 |
| 30.36 | 53 |
| 31.98 | 23 |
| 33.31 | 23 |
| 37.50 | 31 |
| 41.57 | 27 |
| 54.08 | 18 |



This entry pairs a crystal structure of Be4Te3PbO12 with its theoretical powder diffraction line list. Radiation: Cu Kα. Structure: a DFT-relaxed cell (GGA-PBE, Alexandria).

Structure:
a = 6.586 Å, b = 6.586 Å, c = 6.586 Å
α = 103.90°, β = 103.90°, γ = 103.90°
Atoms (fractional coordinates):
Be (0.000, 0.000, 0.000)
Be (0.000, 0.446, 0.554)
Be (0.446, 0.554, 0.000)
Be (0.554, 0.000, 0.446)
Te (0.046, 0.954, 0.500)
Te (0.500, 0.046, 0.954)
Te (0.954, 0.500, 0.046)
Pb (0.500, 0.500, 0.500)
O (0.000, 0.597, 0.403)
O (0.000, 0.849, 0.151)
O (0.122, 0.274, 0.519)
O (0.151, 0.000, 0.849)
O (0.274, 0.519, 0.122)
O (0.403, 0.000, 0.597)
O (0.481, 0.726, 0.878)
O (0.519, 0.122, 0.274)
O (0.597, 0.403, 0.000)
O (0.726, 0.878, 0.481)
O (0.849, 0.151, 0.000)
O (0.878, 0.481, 0.726)

Largest 10 diffraction maxima, in order of rising 2θ, 5° ≤ 2θ ≤ 70°:
| Position (°2θ) | I/Imax |
| --- | --- |
| 17.10 | 17 |
| 22.56 | 100 |
| 28.44 | 15 |
| 29.46 | 77 |
| 34.59 | 25 |
| 41.69 | 16 |
| 42.43 | 18 |
| 48.32 | 27 |
| 48.72 | 17 |
| 58.24 | 12 |



Copy entry 3 word for word.
This entry pairs a crystal structure of BePbSe2O8 with its theoretical powder diffraction line list. Radiation: Cu Kα. Structure: a DFT-relaxed cell (GGA-PBE, Alexandria).

Structure:
a = 4.851 Å, b = 4.851 Å, c = 7.513 Å
α = 94.42°, β = 94.42°, γ = 67.34°
Atoms (fractional coordinates):
Be (0.000, 0.000, 0.000)
Pb (0.000, 0.000, 0.500)
Se (0.365, 0.365, 0.203)
Se (0.635, 0.635, 0.797)
O (0.215, 0.215, 0.037)
O (0.232, 0.740, 0.190)
O (0.260, 0.768, 0.810)
O (0.306, 0.306, 0.411)
O (0.694, 0.694, 0.589)
O (0.740, 0.232, 0.190)
O (0.768, 0.260, 0.810)
O (0.785, 0.785, 0.963)

Largest 10 diffraction maxima, in order of rising 2θ, 5° ≤ 2θ ≤ 70°:
| Position (°2θ) | I/Imax |
| --- | --- |
| 11.83 | 24 |
| 22.11 | 19 |
| 23.71 | 100 |
| 24.15 | 49 |
| 30.36 | 53 |
| 31.98 | 23 |
| 33.31 | 23 |
| 37.50 | 31 |
| 41.57 | 27 |
| 54.08 | 18 |